Structure and theoretical powder XRD pattern of Ce6MnSb10 (DFT lattice parameters and positions (GGA-PBE); Cu Kα).
Lines closer than 0.1° are merged.

The 10 most intense peaks (15 to 90 degrees two-theta), by intensity:
(2 1 1), 2θ = 32.9°, rel. 100.0
(2 -1 2), 2θ = 34.9°, rel. 92.0
(3 0 0), 2θ = 33.5°, rel. 73.1
(2 2 2), 2θ = 49.2°, rel. 25.3
(3 -1 3), 2θ = 53.7°, rel. 24.3
(2 1 0), 2θ = 29.5°, rel. 20.3
(0 0 2), 2θ = 28.8°, rel. 19.3
(3 0 4), 2θ = 70.3°, rel. 16.6
(4 -1 1), 2θ = 43.2°, rel. 15.9
(5 0 2), 2θ = 65.6°, rel. 14.7

Structure:
Lattice parameters (Å, degrees): 9.2563 9.2563 6.1932 90.00 90.00 120.00
Atoms (fractional coordinates):
1 Ce 0.0000 0.3824 0.2482
2 Ce 0.0000 0.6176 0.7518
3 Ce 0.3824 0.0000 0.2482
4 Ce 0.3824 0.3824 0.7518
5 Ce 0.6176 0.0000 0.7518
6 Ce 0.6176 0.6176 0.2482
7 Mn 0.0000 0.0000 0.0000
8 Sb 0.0000 0.2502 0.7461
9 Sb 0.0000 0.7498 0.2539
10 Sb 0.2502 0.0000 0.7461
11 Sb 0.2502 0.2502 0.2539
12 Sb 0.3333 0.6667 0.0000
13 Sb 0.3333 0.6667 0.5000
14 Sb 0.6667 0.3333 0.0000
15 Sb 0.6667 0.3333 0.5000
16 Sb 0.7498 0.0000 0.2539
17 Sb 0.7498 0.7498 0.7461